1.
For Tl3PbCl5, a structure optimized by DFT (PBE) gives the simulated X-ray diffraction stick pattern in this record (Cu Kα (weighted mean of Kα1 and Kα2)).

Structural model:
```
Tl3PbCl5
1.0
8.649 0.000 0.000
0.000 8.649 0.000
0.000 0.000 15.085
Tl Pb Cl
12 4 20
direct
0.008 0.190 0.000 Tl
0.113 0.322 0.574 Tl
0.173 0.365 0.265 Tl
0.190 0.992 0.750 Tl
0.322 0.887 0.324 Tl
0.365 0.827 0.015 Tl
0.635 0.173 0.515 Tl
0.678 0.113 0.824 Tl
0.810 0.008 0.250 Tl
0.827 0.635 0.765 Tl
0.887 0.678 0.074 Tl
0.992 0.810 0.500 Tl
0.303 0.489 0.835 Pb
0.489 0.697 0.585 Pb
0.511 0.303 0.085 Pb
0.697 0.511 0.335 Pb
0.024 0.330 0.796 Cl
0.031 0.821 0.901 Cl
0.179 0.031 0.151 Cl
0.180 0.646 0.672 Cl
0.206 0.491 0.049 Cl
0.330 0.976 0.546 Cl
0.354 0.180 0.922 Cl
0.356 0.523 0.453 Cl
0.477 0.356 0.703 Cl
0.491 0.794 0.799 Cl
0.509 0.206 0.299 Cl
0.523 0.644 0.203 Cl
0.644 0.477 0.953 Cl
0.646 0.820 0.422 Cl
0.670 0.024 0.046 Cl
0.794 0.509 0.549 Cl
0.820 0.354 0.172 Cl
0.821 0.969 0.651 Cl
0.969 0.179 0.401 Cl
0.976 0.670 0.296 Cl
```

Principal peaks in the range 2θ = 10–90°, by angle:
- 22.9 deg, I 765
- 23.6 deg, I 250
- 23.7 deg, I 1000
- 29.1 deg, I 830
- 33.1 deg, I 660
- 33.3 deg, I 548
- 43.6 deg, I 341
- 44.8 deg, I 299
- 46.9 deg, I 305
- 48.0 deg, I 258

***

2.
For Ba5Al2Ge7, a structure optimized by DFT (PBE) gives the simulated X-ray diffraction stick pattern in this record (Cu Kα (weighted mean of Kα1 and Kα2)).

Structural model:
```
Ba5Al2Ge7
1.0
4.371 -5.219 0.000
4.371 5.219 0.000
-4.360 0.000 18.174
Ba Al Ge
10 4 14
direct
0.070 0.623 0.710 Ba
0.209 0.791 0.000 Ba
0.251 0.749 0.500 Ba
0.261 0.261 0.855 Ba
0.377 0.930 0.290 Ba
0.623 0.070 0.710 Ba
0.739 0.739 0.145 Ba
0.749 0.251 0.500 Ba
0.791 0.209 0.000 Ba
0.930 0.377 0.290 Ba
0.275 0.275 0.571 Al
0.425 0.425 0.233 Al
0.575 0.575 0.767 Al
0.725 0.725 0.429 Al
0.087 0.087 0.654 Ge
0.138 0.138 0.144 Ge
0.165 0.540 0.142 Ge
0.203 0.203 0.433 Ge
0.320 0.320 0.047 Ge
0.439 0.439 0.368 Ge
0.460 0.835 0.858 Ge
0.540 0.165 0.142 Ge
0.561 0.561 0.632 Ge
0.680 0.680 0.953 Ge
0.797 0.797 0.567 Ge
0.835 0.460 0.858 Ge
0.862 0.862 0.856 Ge
0.913 0.913 0.346 Ge
```

Principal peaks in the range 2θ = 10–90°, by angle:
- 25.1 deg, I 255
- 26.0 deg, I 494
- 28.4 deg, I 462
- 30.5 deg, I 1000
- 32.0 deg, I 224
- 32.6 deg, I 171
- 34.4 deg, I 360
- 40.4 deg, I 200
- 41.3 deg, I 158
- 54.1 deg, I 304

***

3.
For BaYMg6O8, a structure optimized by DFT (PBE) gives the simulated X-ray diffraction stick pattern in this record (Cu Kα (weighted mean of Kα1 and Kα2)).

Structural model:
```
BaYMg6O8
1.0
4.764 0.000 0.000
0.000 4.764 0.000
0.000 0.000 9.076
Ba Y Mg O
1 1 6 8
direct
0.000 0.000 0.000 Ba
0.500 0.500 0.000 Y
0.000 0.000 0.500 Mg
0.000 0.500 0.278 Mg
0.000 0.500 0.722 Mg
0.500 0.000 0.278 Mg
0.500 0.000 0.722 Mg
0.500 0.500 0.500 Mg
0.000 0.000 0.284 O
0.000 0.000 0.716 O
0.000 0.500 0.000 O
0.000 0.500 0.500 O
0.500 0.000 0.000 O
0.500 0.000 0.500 O
0.500 0.500 0.261 O
0.500 0.500 0.739 O
```

Principal peaks in the range 2θ = 10–90°, by angle:
- 19.6 deg, I 340
- 26.5 deg, I 292
- 28.3 deg, I 543
- 29.5 deg, I 239
- 33.1 deg, I 635
- 37.8 deg, I 1000
- 39.7 deg, I 369
- 54.5 deg, I 313
- 56.0 deg, I 493
- 69.5 deg, I 241

***

4.
For Ag6H3IO6, a structure optimized by DFT (PBE) gives the simulated X-ray diffraction stick pattern in this record (Cu Kα (weighted mean of Kα1 and Kα2)).

Structural model:
```
Ag6H3IO6
1.0
5.313 0.000 0.000
0.009 6.580 0.000
2.430 0.370 6.118
Ag H I O
6 3 1 6
direct
0.139 0.455 0.224 Ag
0.296 0.279 0.815 Ag
0.349 0.741 0.871 Ag
0.651 0.259 0.129 Ag
0.704 0.721 0.185 Ag
0.861 0.545 0.776 Ag
0.000 0.500 0.000 H
0.500 0.000 0.500 H
0.500 0.500 0.000 H
0.000 0.000 0.500 I
0.009 0.908 0.784 O
0.062 0.285 0.555 O
0.413 0.976 0.354 O
0.587 0.024 0.646 O
0.938 0.715 0.445 O
0.991 0.092 0.216 O
```

Principal peaks in the range 2θ = 10–90°, by angle:
- 19.2 deg, I 392
- 27.1 deg, I 498
- 28.1 deg, I 338
- 30.6 deg, I 547
- 33.1 deg, I 989
- 33.5 deg, I 462
- 33.8 deg, I 1000
- 37.8 deg, I 420
- 38.4 deg, I 360
- 48.8 deg, I 381